For K2Zn3Se4O12, a structure optimized by DFT (PBE) gives the calculated powder diffraction line list in this record (CuKα).
Peak positions follow from Bragg's law for the DFT cell and can differ from measured ones.

Atomic structure:
a = 11.657 Å, b = 8.926 Å, c = 13.978 Å
α = 90.00°, β = 92.55°, γ = 90.00°
Space group C2/c (No. 15)
Symmetry-distinct sites (fractional):
K1 0.208 0.011 0.481
Zn1 0.000 0.005 0.750
Zn2 0.029 0.350 0.398
Se1 0.019 0.305 0.630
Se2 0.194 0.216 0.219
O1 0.065 0.149 0.855
O2 0.084 0.437 0.906
O3 0.086 0.270 0.523
O4 0.120 0.206 0.324
O5 0.132 0.058 0.168
O6 0.132 0.361 0.152

Most intense lines, 10° ≤ 2θ ≤ 80°, in order of falling intensity:
two_theta, I (rel.)
26.08, 1000
29.24, 827
15.22, 791
27.93, 657
31.02, 580
28.58, 484
28.81, 480
23.15, 339
12.68, 337
38.11, 324